Starting from a crystal structure in Alexandria, relaxed with GGA-PBE, the X-ray powder pattern of Gd5Si2BO13 was simulated for a wavelength of 1.5418 Å.

Crystal structure
a b c (Å): 9.348 6.906 9.381
angles (deg): 90.00 119.75 90.00
Fractional positions:
1 Gd 0.000 0.000 0.000
2 Gd 0.002 0.500 0.248
3 Gd 0.112 0.251 0.682
4 Gd 0.112 0.749 0.682
5 Gd 0.423 0.250 0.337
6 Gd 0.423 0.750 0.337
7 Gd 0.509 0.000 0.776
8 Gd 0.516 0.500 0.998
9 Gd 0.735 0.500 0.761
10 Gd 0.742 0.000 0.229
11 Si 0.122 0.500 0.976
12 Si 0.162 0.000 0.379
13 Si 0.731 0.000 0.608
14 Si 0.791 0.500 0.411
15 B 0.353 0.500 0.631
16 B 0.388 0.000 0.038
17 O 0.002 0.311 0.914
18 O 0.002 0.689 0.914
19 O 0.093 0.000 0.506
20 O 0.105 0.189 0.257
21 O 0.105 0.811 0.257
22 O 0.167 0.500 0.540
23 O 0.228 0.500 0.881
24 O 0.243 0.500 0.174
25 O 0.279 0.000 0.856
26 O 0.295 0.000 0.130
27 O 0.364 0.000 0.478
28 O 0.405 0.323 0.743
29 O 0.405 0.677 0.743
30 O 0.424 0.500 0.521
31 O 0.497 0.178 0.091
32 O 0.497 0.822 0.091
33 O 0.592 0.500 0.335
34 O 0.630 0.000 0.406
35 O 0.663 0.190 0.661
36 O 0.663 0.810 0.661
37 O 0.758 0.000 0.999
38 O 0.759 0.500 0.009
39 O 0.850 0.310 0.348
40 O 0.850 0.690 0.348
41 O 0.893 0.500 0.612
42 O 0.931 0.000 0.688

Peak list (12 most intense, 5° ≤ 2θ ≤ 70°, most intense first)
2θ = 32.20°, 2.780 Å, rel. 100, hkl 2 2 -1; 2θ = 31.85°, 2.809 Å, rel. 78, hkl 1 1 -3; 2θ = 28.08°, 3.178 Å, rel. 73, hkl 1 2 0; 2θ = 31.97°, 2.799 Å, rel. 69, hkl 3 1 -2; 2θ = 22.93°, 3.879 Å, rel. 55, hkl 1 1 1; 2θ = 21.86°, 4.066 Å, rel. 37, hkl 0 0 2; 2θ = 29.04°, 3.075 Å, rel. 36, hkl 2 0 1; 2θ = 33.14°, 2.703 Å, rel. 35, hkl 3 0 0; 2θ = 46.80°, 1.941 Å, rel. 34, hkl 2 2 -4; 2θ = 49.47°, 1.843 Å, rel. 32, hkl 1 3 -3; 2θ = 29.16°, 3.062 Å, rel. 30, hkl 3 0 -1; 2θ = 21.95°, 4.050 Å, rel. 23, hkl 2 0 -2